[1]
Starting from a cell relaxed with PBE, the PXRD pattern of Sm6Ho4Zr was simulated for Cu Kα (λ = 1.5418 Å).
Neutral-atom scattering factors, no anomalous dispersion.

Principal peaks in the range 10 to 80 degrees two-theta, in order of rising 2θ:
h k l	2θ (°)	d/Å	intensity
2 1 2	30.1	2.972	100
3 1 0	32.5	2.758	53
2 1 3	37.4	2.407	8
0 0 4	39.3	2.294	11
4 1 2	47.3	1.921	10
3 1 4	51.8	1.764	12
4 0 4	58.4	1.580	9
3 3 4	60.5	1.531	9
5 2 2	60.6	1.527	21
2 1 6	65.6	1.424	11

Structural model:
a b c (Å): 8.7221 8.7221 9.1744
angles (deg): 90.00 90.00 90.00
Sites, in units of the cell vectors:
1 Sm 0.0000 0.0000 0.1766
2 Sm 0.0000 0.0000 0.8234
3 Sm 0.1483 0.3448 0.5000
4 Sm 0.1552 0.3517 0.0000
5 Sm 0.3448 0.8517 0.5000
6 Sm 0.3517 0.8448 0.0000
7 Sm 0.5000 0.5000 0.3234
8 Sm 0.5000 0.5000 0.6766
9 Sm 0.6483 0.1552 0.0000
10 Sm 0.6552 0.1483 0.5000
11 Sm 0.8448 0.6483 0.0000
12 Sm 0.8517 0.6552 0.5000
13 Ho 0.1465 0.6465 0.2500
14 Ho 0.1465 0.6465 0.7500
15 Ho 0.3535 0.1465 0.2500
16 Ho 0.3535 0.1465 0.7500
17 Ho 0.6465 0.8535 0.2500
18 Ho 0.6465 0.8535 0.7500
19 Ho 0.8535 0.3535 0.2500
20 Ho 0.8535 0.3535 0.7500
21 Zr 0.0000 0.0000 0.5000
22 Zr 0.5000 0.5000 0.0000

---

[2]
Starting from a cell relaxed with PBE, the PXRD pattern of TbPm4Pr7 was simulated for Cu Kα (λ = 1.5418 Å).
Neutral-atom scattering factors, no anomalous dispersion.

Principal peaks in the range 10 to 80 degrees two-theta, in order of rising 2θ:
h k l	2θ (°)	d/Å	intensity
1 2 0	28.0	3.188	36
0 0 3	30.1	2.973	50
2 0 2	30.9	2.894	100
2 0 -1	32.5	2.753	85
1 2 3	38.9	2.316	16
3 2 1	49.2	1.854	38
2 0 5	52.8	1.733	23
2 0 -4	56.0	1.642	18
3 2 4	58.7	1.573	45
2 4 2	59.2	1.561	16

Structural model:
a b c (Å): 6.4188 7.4164 9.1731
angles (deg): 89.97 76.50 89.99
Sites, in units of the cell vectors:
1 Tb 0.0000 0.0000 0.0000
2 Pm 0.2226 0.5001 0.3332
3 Pm 0.2770 0.2502 0.6694
4 Pm 0.7230 0.7498 0.3306
5 Pm 0.7774 0.4999 0.6668
6 Pr 0.0000 0.5000 0.0000
7 Pr 0.2219 0.9999 0.3326
8 Pr 0.2779 0.7497 0.6686
9 Pr 0.4998 0.2496 0.9993
10 Pr 0.5002 0.7504 0.0007
11 Pr 0.7221 0.2503 0.3314
12 Pr 0.7781 0.0001 0.6674

---

[3]
Starting from a cell relaxed with PBE, the PXRD pattern of Ca2CeHg6 was simulated for Cu Kα (λ = 1.5418 Å).
Neutral-atom scattering factors, no anomalous dispersion.

Principal peaks in the range 10 to 80 degrees two-theta, in order of rising 2θ:
h k l	2θ (°)	d/Å	intensity
1 1 0	20.3	4.374	27
0 0 1	25.4	3.506	36
1 1 1	32.7	2.735	83
3 0 0	35.5	2.525	100
3 0 1	44.2	2.049	52
2 2 1	49.1	1.856	27
4 1 1	62.1	1.495	27
3 3 0	63.8	1.458	18
3 0 2	64.7	1.440	35
3 3 1	69.9	1.346	14

Structural model:
a b c (Å): 8.7482 8.7482 3.5056
angles (deg): 90.00 90.00 120.00
Sites, in units of the cell vectors:
1 Ca 0.3333 0.6667 0.0000
2 Ca 0.6667 0.3333 0.0000
3 Ce 0.0000 0.0000 0.0000
4 Hg 0.0000 0.3351 0.5000
5 Hg 0.0000 0.6649 0.5000
6 Hg 0.3351 0.0000 0.5000
7 Hg 0.3351 0.3351 0.5000
8 Hg 0.6649 0.0000 0.5000
9 Hg 0.6649 0.6649 0.5000